Diffraction record for YMo2O7F. The X-ray diffraction stick pattern is computed, not measured: it uses a DFT-relaxed cell (GGA+U, Alexandria) and CuKα.

```
data_YMo2O7F
_chemical_formula_sum 'Y2 Mo4 O14 F2'
_symmetry_space_group_name_H-M 'P 1'
_symmetry_Int_Tables_number 1
_cell_length_a 4.3498
_cell_length_b 6.6528
_cell_length_c 11.5683
_cell_angle_alpha 90.00
_cell_angle_beta 90.38
_cell_angle_gamma 90.00
loop_
_symmetry_equiv_pos_as_xyz
'x,y,z'
loop_
_atom_site_label
_atom_site_type_symbol
_atom_site_fract_x
_atom_site_fract_y
_atom_site_fract_z
_atom_site_occupancy
Y1 Y 0.0000 0.1995 0.2500 1
Y2 Y 0.0000 0.8005 0.7500 1
Mo1 Mo 0.0969 0.3324 0.5943 1
Mo2 Mo 0.0969 0.6676 0.0943 1
Mo3 Mo 0.9031 0.3324 0.9057 1
Mo4 Mo 0.9031 0.6676 0.4057 1
O1 O 0.0000 0.4415 0.7500 1
O2 O 0.0000 0.5585 0.2500 1
O3 O 0.0015 0.3503 0.4338 1
O4 O 0.0015 0.6497 0.9338 1
O5 O 0.0147 0.0786 0.6282 1
O6 O 0.0147 0.9214 0.1282 1
O7 O 0.4951 0.3423 0.5972 1
O8 O 0.4951 0.6577 0.0972 1
O9 O 0.5049 0.3423 0.9028 1
O10 O 0.5049 0.6577 0.4028 1
O11 O 0.9853 0.0786 0.8718 1
O12 O 0.9853 0.9214 0.3718 1
O13 O 0.9985 0.3503 0.0662 1
O14 O 0.9985 0.6497 0.5662 1
F1 F 0.5000 0.1986 0.2500 1
F2 F 0.5000 0.8014 0.7500 1
```

Principal peaks in the range 10° ≤ 2θ ≤ 80°, in order of rising 2θ:
2theta, I_rel, hkl
13.3, 22, 0 1 0
20.4, 97, 1 0 0
25.6, 13, 1 0 -2
25.7, 17, 1 0 2
26.7, 100, 0 1 3
27.9, 23, 0 2 1
33.8, 21, 1 1 -3
33.9, 16, 1 1 3
34.9, 13, 1 2 1
41.5, 16, 2 0 0
47.1, 13, 0 0 6
52.0, 14, 0 3 4